Record 1
Structure and computed X-ray diffraction stick pattern of Sm3Ge4 (a crystal structure in OQMD, relaxed with GGA-PBE; copper Kα).
No peak broadening, texture or thermal motion is included.

Most intense lines, 10 to 90 degrees two-theta, in order of rising 2θ:
- 26.0°, 3.426 Å, I = 23
- 29.5°, 3.026 Å, I = 52
- 32.7°, 2.740 Å, I = 87
- 33.4°, 2.685 Å, I = 29
- 33.8°, 2.651 Å, I = 100
- 37.2°, 2.416 Å, I = 25
- 37.7°, 2.383 Å, I = 38
- 41.4°, 2.182 Å, I = 37
- 43.5°, 2.080 Å, I = 36
- 50.4°, 1.812 Å, I = 27

Crystal structure
Cell: 5.846 5.846 14.498 Å, 90.00 90.00 138.32°
Sites, in units of the cell vectors:
Sm (0.040, 0.960, 0.750)
Sm (0.329, 0.671, 0.597)
Sm (0.329, 0.671, 0.903)
Sm (0.671, 0.329, 0.097)
Sm (0.671, 0.329, 0.403)
Sm (0.960, 0.040, 0.250)
Ge (0.000, 0.000, 0.000)
Ge (0.000, 0.000, 0.500)
Ge (0.234, 0.766, 0.250)
Ge (0.382, 0.618, 0.109)
Ge (0.382, 0.618, 0.391)
Ge (0.618, 0.382, 0.609)
Ge (0.618, 0.382, 0.891)
Ge (0.766, 0.234, 0.750)

Record 2
Structure and computed X-ray diffraction stick pattern of LaPrSO2 (a crystal structure in OQMD, relaxed with GGA-PBE; copper Kα).
No peak broadening, texture or thermal motion is included.

Most intense lines, 10 to 90 degrees two-theta, in order of rising 2θ:
- 25.7°, 3.472 Å, I = 20
- 25.9°, 3.441 Å, I = 22
- 28.8°, 3.100 Å, I = 100
- 36.8°, 2.444 Å, I = 31
- 45.2°, 2.004 Å, I = 33
- 47.5°, 1.914 Å, I = 26
- 52.9°, 1.732 Å, I = 19
- 54.5°, 1.683 Å, I = 17
- 73.5°, 1.289 Å, I = 14
- 85.2°, 1.139 Å, I = 9

Crystal structure
Cell: 4.009 4.009 6.882 Å, 90.00 90.00 120.00°
Sites, in units of the cell vectors:
La (0.000, 0.000, 0.000)
Pr (0.333, 0.667, 0.558)
S (0.667, 0.333, 0.279)
O (0.000, 0.000, 0.650)
O (0.333, 0.667, 0.908)

Record 3
Structure and computed X-ray diffraction stick pattern of LaHoGa4Ir2 (a crystal structure in OQMD, relaxed with GGA-PBE; copper Kα).
No peak broadening, texture or thermal motion is included.

Most intense lines, 10 to 90 degrees two-theta, in order of rising 2θ:
- 17.4°, 5.085 Å, I = 26
- 24.5°, 3.630 Å, I = 44
- 33.7°, 2.658 Å, I = 100
- 36.0°, 2.492 Å, I = 60
- 36.3°, 2.476 Å, I = 61
- 37.5°, 2.399 Å, I = 63
- 42.8°, 2.113 Å, I = 48
- 44.0°, 2.056 Å, I = 35
- 58.0°, 1.591 Å, I = 18
- 68.1°, 1.377 Å, I = 26

Crystal structure
Cell: 4.225 7.259 5.492 Å, 90.00 112.20 90.00°
Sites, in units of the cell vectors:
La (0.000, 0.000, 0.000)
Ho (0.857, 0.500, 0.711)
Ga (0.286, 0.204, 0.564)
Ga (0.286, 0.796, 0.564)
Ga (0.575, 0.310, 0.150)
Ga (0.575, 0.690, 0.150)
Ir (0.140, 0.500, 0.282)
Ir (0.724, 0.000, 0.438)

Record 4
Structure and computed X-ray diffraction stick pattern of TbPrAg2O4 (a crystal structure in OQMD, relaxed with GGA-PBE; copper Kα).
No peak broadening, texture or thermal motion is included.

Most intense lines, 10 to 90 degrees two-theta, in order of rising 2θ:
- 28.5°, 3.128 Å, I = 44
- 29.4°, 3.038 Å, I = 41
- 32.0°, 2.800 Å, I = 100
- 40.8°, 2.213 Å, I = 14
- 50.5°, 1.808 Å, I = 30
- 52.7°, 1.735 Å, I = 32
- 59.0°, 1.565 Å, I = 32
- 61.0°, 1.519 Å, I = 16
- 81.4°, 1.183 Å, I = 12
- 83.0°, 1.163 Å, I = 13

Crystal structure
Cell: 3.616 3.616 12.508 Å, 90.00 90.00 120.00°
Sites, in units of the cell vectors:
Tb (0.000, 0.000, 0.000)
Pr (0.000, 0.000, 0.500)
Ag (0.333, 0.667, 0.245)
Ag (0.667, 0.333, 0.755)
O (0.333, 0.667, 0.080)
O (0.333, 0.667, 0.410)
O (0.667, 0.333, 0.590)
O (0.667, 0.333, 0.920)

Record 5
Structure and computed X-ray diffraction stick pattern of LaTb2Ni2B2N3 (a crystal structure in OQMD, relaxed with GGA-PBE; copper Kα).
No peak broadening, texture or thermal motion is included.

Most intense lines, 10 to 90 degrees two-theta, in order of rising 2θ:
- 28.3°, 3.154 Å, I = 100
- 33.4°, 2.686 Å, I = 68
- 35.0°, 2.563 Å, I = 52
- 35.7°, 2.514 Å, I = 38
- 36.8°, 2.441 Å, I = 34
- 39.9°, 2.257 Å, I = 45
- 44.8°, 2.025 Å, I = 27
- 51.4°, 1.777 Å, I = 37
- 59.7°, 1.548 Å, I = 27
- 63.7°, 1.461 Å, I = 35

Crystal structure
Cell: 10.555 10.555 10.555 Å, 160.61 160.61 27.55°
Sites, in units of the cell vectors:
La (0.000, 0.000, 0.000)
Tb (0.373, 0.373, 0.000)
Tb (0.627, 0.627, 0.000)
Ni (0.250, 0.750, 0.500)
Ni (0.750, 0.250, 0.500)
B (0.193, 0.193, 0.000)
B (0.807, 0.807, 0.000)
N (0.122, 0.122, 0.000)
N (0.500, 0.500, 0.000)
N (0.878, 0.878, 0.000)

Record 6
Structure and computed X-ray diffraction stick pattern of Ag (a crystal structure in OQMD, relaxed with GGA-PBE; copper Kα).
No peak broadening, texture or thermal motion is included.

Most intense lines, 10 to 90 degrees two-theta, in order of rising 2θ:
- 36.3°, 2.472 Å, I = 29
- 37.9°, 2.374 Å, I = 44
- 39.4°, 2.287 Å, I = 65
- 41.2°, 2.193 Å, I = 100
- 53.5°, 1.712 Å, I = 18
- 62.8°, 1.479 Å, I = 18
- 69.5°, 1.353 Å, I = 11
- 70.7°, 1.333 Å, I = 19
- 75.8°, 1.255 Å, I = 21
- 80.2°, 1.196 Å, I = 15

Crystal structure
Cell: 2.963 2.963 4.747 Å, 90.00 90.00 123.45°
Sites, in units of the cell vectors:
Ag (0.160, 0.840, 0.750)
Ag (0.840, 0.160, 0.250)

Record 7
Structure and computed X-ray diffraction stick pattern of TmGeTe2AuSe (a crystal structure in OQMD, relaxed with GGA-PBE; copper Kα).
No peak broadening, texture or thermal motion is included.

Most intense lines, 10 to 90 degrees two-theta, in order of rising 2θ:
- 12.2°, 7.250 Å, I = 39
- 28.4°, 3.144 Å, I = 27
- 29.0°, 3.084 Å, I = 12
- 29.7°, 3.007 Å, I = 26
- 33.4°, 2.679 Å, I = 100
- 35.1°, 2.556 Å, I = 21
- 37.3°, 2.413 Å, I = 20
- 41.9°, 2.155 Å, I = 22
- 43.7°, 2.072 Å, I = 22
- 58.7°, 1.572 Å, I = 11

Crystal structure
Cell: 7.540 7.540 10.223 Å, 90.00 90.00 148.10°
Sites, in units of the cell vectors:
Tm (0.000, 0.000, 0.000)
Tm (0.000, 0.000, 0.500)
Ge (0.242, 0.758, 0.750)
Ge (0.758, 0.242, 0.250)
Te (0.344, 0.656, 0.059)
Te (0.344, 0.656, 0.441)
Te (0.656, 0.344, 0.559)
Te (0.656, 0.344, 0.941)
Au (0.480, 0.520, 0.250)
Au (0.520, 0.480, 0.750)
Se (0.095, 0.905, 0.250)
Se (0.905, 0.095, 0.750)

Record 8
Structure and computed X-ray diffraction stick pattern of Pm3Sm2Sb3 (a crystal structure in OQMD, relaxed with GGA-PBE; copper Kα).
No peak broadening, texture or thermal motion is included.

Most intense lines, 10 to 90 degrees two-theta, in order of rising 2θ:
- 27.6°, 3.227 Å, I = 17
- 29.6°, 3.020 Å, I = 32
- 29.9°, 2.992 Å, I = 18
- 32.7°, 2.735 Å, I = 100
- 33.6°, 2.663 Å, I = 56
- 33.9°, 2.644 Å, I = 87
- 48.5°, 1.877 Å, I = 23
- 52.2°, 1.752 Å, I = 27
- 54.0°, 1.699 Å, I = 15
- 65.1°, 1.432 Å, I = 15

Crystal structure
Cell: 9.227 9.227 6.454 Å, 90.00 90.00 120.00°
Sites, in units of the cell vectors:
Pm (0.000, 0.249, 0.250)
Pm (0.000, 0.751, 0.750)
Pm (0.249, 0.000, 0.250)
Pm (0.249, 0.249, 0.750)
Pm (0.751, 0.000, 0.750)
Pm (0.751, 0.751, 0.250)
Sm (0.333, 0.667, 0.000)
Sm (0.333, 0.667, 0.500)
Sm (0.667, 0.333, 0.000)
Sm (0.667, 0.333, 0.500)
Sb (0.000, 0.388, 0.750)
Sb (0.000, 0.612, 0.250)
Sb (0.388, 0.000, 0.750)
Sb (0.388, 0.388, 0.250)
Sb (0.612, 0.000, 0.250)
Sb (0.612, 0.612, 0.750)

Record 9
Structure and computed X-ray diffraction stick pattern of NaHf3Pb5 (a crystal structure in OQMD, relaxed with GGA-PBE; copper Kα).
No peak broadening, texture or thermal motion is included.

Most intense lines, 10 to 90 degrees two-theta, in order of rising 2θ:
- 10.8°, 8.215 Å, I = 57
- 17.1°, 5.199 Å, I = 51
- 29.8°, 3.002 Å, I = 82
- 32.7°, 2.738 Å, I = 61
- 36.2°, 2.478 Å, I = 97
- 37.1°, 2.423 Å, I = 50
- 41.1°, 2.197 Å, I = 100
- 44.8°, 2.023 Å, I = 43
- 61.8°, 1.501 Å, I = 35
- 71.7°, 1.316 Å, I = 40

Crystal structure
Cell: 6.003 6.003 8.215 Å, 90.00 90.00 120.00°
Sites, in units of the cell vectors:
Na (0.000, 0.000, 0.000)
Hf (0.000, 0.500, 0.500)
Hf (0.500, 0.000, 0.500)
Hf (0.500, 0.500, 0.500)
Pb (0.000, 0.000, 0.500)
Pb (0.333, 0.667, 0.187)
Pb (0.333, 0.667, 0.813)
Pb (0.667, 0.333, 0.187)
Pb (0.667, 0.333, 0.813)

Record 10
Structure and computed X-ray diffraction stick pattern of NaRe4Au3O12 (a crystal structure in OQMD, relaxed with GGA-PBE; copper Kα).
No peak broadening, texture or thermal motion is included.

Most intense lines, 10 to 90 degrees two-theta, in order of rising 2θ:
- 16.3°, 5.450 Å, I = 9
- 28.4°, 3.146 Å, I = 6
- 32.9°, 2.725 Å, I = 100
- 36.9°, 2.437 Å, I = 3
- 44.0°, 2.060 Å, I = 3
- 47.2°, 1.927 Å, I = 25
- 58.7°, 1.573 Å, I = 42
- 68.9°, 1.362 Å, I = 15
- 78.5°, 1.219 Å, I = 18
- 87.7°, 1.112 Å, I = 5

Crystal structure
Cell: 6.674 6.674 6.674 Å, 109.47 109.47 109.47°
Sites, in units of the cell vectors:
Na (0.000, 0.000, 0.000)
Re (0.000, 0.000, 0.500)
Re (0.000, 0.500, 0.000)
Re (0.500, 0.000, 0.000)
Re (0.500, 0.500, 0.500)
Au (0.000, 0.500, 0.500)
Au (0.500, 0.000, 0.500)
Au (0.500, 0.500, 0.000)
O (0.073, 0.793, 0.280)
O (0.207, 0.280, 0.487)
O (0.207, 0.720, 0.927)
O (0.280, 0.073, 0.793)
O (0.280, 0.487, 0.207)
O (0.487, 0.207, 0.280)
O (0.513, 0.793, 0.720)
O (0.720, 0.513, 0.793)
O (0.720, 0.927, 0.207)
O (0.793, 0.280, 0.073)
O (0.793, 0.720, 0.513)
O (0.927, 0.207, 0.720)